(1)
This entry pairs a crystal structure of TaAsO4 with its calculated X-ray diffraction stick pattern. Radiation: Cu Ka. Structure: a DFT-relaxed cell (GGA-PBE, Alexandria).
No peak broadening, texture or thermal motion is included.

Structural model:
abc: 5.147 5.573 5.701
angles: 90.00 101.01 90.00
Space group Pc (No. 7)
One atom of each set of equivalent atoms:
Ta 0.000 0.161 0.000 [2 per cell]
As 0.450 0.316 0.586 [2 per cell]
O 0.237 0.112 0.722 [2 per cell]
O 0.246 0.417 0.115 [2 per cell]
O 0.712 0.364 0.853 [2 per cell]
O 0.848 0.101 0.278 [2 per cell]

Principal peaks in the range 2θ = 10–80°, by angle:
Position (°2θ)	d/Å	I/Imax
17.6	5.052	44
22.5	3.949	45
23.8	3.743	62
26.7	3.337	100
30.6	2.926	86
36.0	2.495	44

(2)
This entry pairs a crystal structure of AcB with its calculated X-ray diffraction stick pattern. Radiation: Cu Ka. Structure: a DFT-relaxed cell (GGA-PBE, Alexandria).
No peak broadening, texture or thermal motion is included.

Structural model:
abc: 7.782 8.419 6.155
angles: 90.00 90.00 90.00
Space group Cmcm (No. 63)
One atom of each set of equivalent atoms:
Ac 0.237 0.142 0.250 [8 per cell]
B 0.000 0.444 0.113 [8 per cell]

Principal peaks in the range 2θ = 10–80°, by angle:
Position (°2θ)	d/Å	I/Imax
22.9	3.891	64
25.6	3.474	100
29.0	3.077	39
34.6	2.592	97
37.3	2.414	41
55.1	1.667	25